Simulated powder XRD pattern
Compound: Cs2InSbBr6
Radiation: CuKα
Structure: a DFT-relaxed cell (GGA-PBE, the Materials Project)

Most intense lines, 10 to 90 degrees two-theta, low angle first:
2θ/deg, I (rel.)
21.2, 56
26.1, 53
30.2, 100
37.2, 25
43.2, 72
71.3, 31

Structure:
```
data_Cs2InSbBr6
_chemical_formula_sum 'Cs2 In1 Sb1 Br6'
_symmetry_space_group_name_H-M 'P 1'
_symmetry_Int_Tables_number 1
_symmetry_space_group_name_Hall 'P 1'
_cell_length_a 8.369
_cell_length_b 8.369
_cell_length_c 8.369
_cell_angle_alpha 60.00
_cell_angle_beta 60.00
_cell_angle_gamma 60.00
loop_
_atom_site_label
_atom_site_type_symbol
_atom_site_fract_x
_atom_site_fract_y
_atom_site_fract_z
Cs1 Cs 0.250 0.250 0.250
Cs2 Cs 0.750 0.750 0.750
In1 In 0.000 0.000 0.000
Sb1 Sb 0.500 0.500 0.500
Br1 Br 0.261 0.261 0.739
Br2 Br 0.261 0.739 0.261
Br3 Br 0.261 0.739 0.739
Br4 Br 0.739 0.261 0.261
Br5 Br 0.739 0.261 0.739
Br6 Br 0.739 0.739 0.261
```

Simulated powder XRD pattern
Compound: Cs2ScInBr6
Radiation: CuKα
Structure: a DFT-relaxed cell (GGA-PBE, the Materials Project)

Most intense lines, 10 to 90 degrees two-theta, low angle first:
2θ/deg, I (rel.)
21.5, 44
26.4, 81
30.6, 100
43.8, 69
51.9, 31
72.3, 26

Structure:
```
data_Cs2ScInBr6
_chemical_formula_sum 'Cs2 Sc1 In1 Br6'
_symmetry_space_group_name_H-M 'P 1'
_symmetry_Int_Tables_number 1
_symmetry_space_group_name_Hall 'P 1'
_cell_length_a 8.263
_cell_length_b 8.263
_cell_length_c 8.263
_cell_angle_alpha 60.00
_cell_angle_beta 60.00
_cell_angle_gamma 60.00
loop_
_atom_site_label
_atom_site_type_symbol
_atom_site_fract_x
_atom_site_fract_y
_atom_site_fract_z
Cs1 Cs 0.250 0.250 0.250
Cs2 Cs 0.750 0.750 0.750
Sc1 Sc 0.000 0.000 0.000
In1 In 0.500 0.500 0.500
Br1 Br 0.229 0.229 0.771
Br2 Br 0.229 0.771 0.229
Br3 Br 0.229 0.771 0.771
Br4 Br 0.771 0.229 0.229
Br5 Br 0.771 0.229 0.771
Br6 Br 0.771 0.771 0.229
```